For Na3TmCl6, the PBE geometry in the Materials Project gives the theoretical PXRD pattern in this record (Cu Kα (λ = 1.5418 Å)).
No peak broadening, texture or thermal motion is included.

Largest 12 diffraction maxima, sorted by position, 15 to 90 degrees two-theta:
(hkl)  Position (°2θ)  I/Imax
1 0 -2  15.40  100.0
0 0 2  17.33  45.3
1 1 -1  17.66  92.3
1 1 1  24.84  90.2
1 2 0  29.09  46.4
1 0 -4  29.20  45.2
2 1 -1  29.77  48.8
2 2 -2  35.77  45.4
1 3 -1  39.46  36.8
2 2 0  39.99  33.1
0 2 4  43.30  46.4
3 1 -1  44.62  32.2

Crystal structure
a = 6.9561 Å, b = 7.2552 Å, c = 12.3532 Å
α = 90.00°, β = 124.05°, γ = 90.00°
Space group P2_1/c (No. 14)
Asymmetric unit:
Na (0.0000, 0.0000, 0.0000)
Na (0.2281, 0.0592, 0.7428)
Tm (0.5000, 0.0000, 0.5000)
Cl (0.1255, 0.1792, 0.4369)
Cl (0.2539, 0.6976, 0.4222)
Cl (0.3944, 0.0669, 0.2624)


For Cs3HgCl5, the PBE geometry in the Materials Project gives the theoretical PXRD pattern in this record (Cu Kα (λ = 1.5418 Å)).
No peak broadening, texture or thermal motion is included.

Largest 12 diffraction maxima, sorted by position, 15 to 90 degrees two-theta:
(hkl)  Position (°2θ)  I/Imax
1 0 2  15.96  28.5
2 1 0  20.99  44.8
1 0 3  21.42  55.2
1 2 2  22.81  100.0
1 1 3  22.93  37.1
2 2 1  26.13  93.6
1 0 4  27.35  48.0
2 1 3  28.48  47.4
1 3 2  29.28  35.9
3 1 1  31.02  30.9
3 0 2  31.95  28.6
0 4 0  32.72  62.2

Crystal structure
a = 9.1770 Å, b = 10.9477 Å, c = 13.9513 Å
α = 90.00°, β = 90.00°, γ = 90.00°
Space group Pnma (No. 62)
Asymmetric unit:
Cs (0.0894, 0.0267, 0.1662)
Cs (0.0903, 0.2500, 0.4519)
Hg (0.2026, 0.2500, 0.8826)
Cl (0.0332, 0.7500, 0.0137)
Cl (0.1271, 0.2500, 0.7096)
Cl (0.1608, 0.7500, 0.7358)
Cl (0.1850, 0.5504, 0.4316)


For Na2Ta2O5, the PBE geometry in the Materials Project gives the theoretical PXRD pattern in this record (Cu Kα (λ = 1.5418 Å)).
No peak broadening, texture or thermal motion is included.

Largest 12 diffraction maxima, sorted by position, 15 to 90 degrees two-theta:
(hkl)  Position (°2θ)  I/Imax
0 1 1  22.32  81.4
4 0 0  22.46  36.2
0 2 0  31.67  21.5
0 0 2  31.88  100.0
0 2 2  45.55  24.2
8 0 0  45.85  12.0
0 1 3  51.39  24.5
8 1 1  51.56  17.4
4 3 1  56.54  16.0
8 2 0  56.80  24.0
0 0 4  66.63  18.3
8 1 3  71.33  9.4

Crystal structure
a = 15.8339 Å, b = 5.6507 Å, c = 5.6137 Å
α = 90.00°, β = 90.00°, γ = 90.00°
Space group Ima2 (No. 46)
Asymmetric unit:
Na (0.1187, 0.0148, 0.0000)
Ta (0.0000, 0.0000, 0.5023)
Ta (0.2500, 0.5092, 0.0163)
O (0.0059, 0.7491, 0.7527)
O (0.1275, 0.0283, 0.5089)
O (0.2500, 0.7373, 0.2795)